Record 1
# Dy3YO6
Computed X-ray diffraction stick pattern, copper Kα. Input: a cell relaxed with GGA-PBE.
Neutral-atom scattering factors, no anomalous dispersion.

Cell and atoms:
```
20
Lattice="4.827 2.787 3.787 -4.827 2.787 3.787 0.000 -5.574 3.787" Properties=species:S:1:pos:R:3 pbc="T T T"
Dy -3.358 -0.892 5.190
Dy -0.907 -3.354 6.171
Dy -2.451 2.462 6.171
Dy 2.451 -2.462 5.190
Dy 0.907 3.354 5.190
Dy 3.358 0.892 6.171
Y 0.000 0.000 0.000
Y 0.000 0.000 5.680
O -3.150 -3.022 6.091
O -4.192 1.217 5.269
O -1.183 -1.615 4.577
O 1.042 -4.239 5.269
O -1.990 0.217 6.784
O -0.807 1.832 4.577
O 0.807 -1.832 6.784
O 1.990 -0.217 4.577
O -1.042 4.239 6.091
O 1.183 1.615 6.784
O 4.192 -1.217 6.091
O 3.150 3.022 5.269
```

Most intense lines, 2θ from 10° to 90°, low angle first:
d (Å), intensity
3.787, 36
3.367, 21
3.044, 100
2.979, 45
2.761, 58
2.112, 24
1.824, 28
1.763, 22

=====

Record 2
# Li5Mg6Rh
Computed X-ray diffraction stick pattern, copper Kα. Input: a cell relaxed with GGA-PBE.
Neutral-atom scattering factors, no anomalous dispersion.

Cell and atoms:
```
12
Lattice="-2.347 3.415 7.079 2.347 -3.415 7.079 2.347 3.415 -7.079" Properties=species:S:1:pos:R:3 pbc="T T T"
Li 0.000 0.000 0.000
Li 2.347 0.000 2.385
Li 0.000 0.000 4.604
Li 0.000 0.000 9.554
Li 0.000 3.415 4.694
Mg 2.347 -1.613 4.879
Mg 2.347 1.912 0.000
Mg 0.000 1.801 2.200
Mg 2.347 1.613 4.879
Mg 0.000 1.502 7.079
Mg 0.000 5.028 2.200
Rh 0.000 3.415 0.000
```

Most intense lines, 2θ from 10° to 90°, low angle first:
d (Å), intensity
7.079, 61
6.151, 94
4.456, 39
3.876, 49
3.395, 27
2.383, 100
2.360, 24
2.347, 25

=====

Record 3
# Sr2TlCd3
Computed X-ray diffraction stick pattern, copper Kα. Input: a cell relaxed with GGA-PBE.
Neutral-atom scattering factors, no anomalous dispersion.

Cell and atoms:
```
12
Lattice="0.000 5.159 8.947 3.924 0.000 8.947 3.924 5.159 0.000" Properties=species:S:1:pos:R:3 pbc="T T T"
Sr 1.962 2.579 4.474
Sr 5.889 5.159 8.947
Sr 1.959 5.159 8.947
Sr 5.886 7.738 13.421
Tl 3.924 5.159 2.979
Tl 3.924 5.159 14.915
Cd 3.924 2.613 7.472
Cd 3.924 5.159 5.997
Cd 3.924 2.613 10.422
Cd 3.924 7.705 7.472
Cd 3.924 5.159 11.897
Cd 3.924 7.705 10.422
```

Most intense lines, 2θ from 10° to 90°, low angle first:
d (Å), intensity
3.924, 23
2.949, 100
2.581, 89
2.156, 28
1.942, 30
1.562, 37
1.552, 28
1.490, 16

=====

Record 4
# USi2PbO8
Computed X-ray diffraction stick pattern, copper Kα. Input: a cell relaxed with GGA-PBE.
Neutral-atom scattering factors, no anomalous dispersion.

Cell and atoms:
```
12
Lattice="2.469 1.425 8.379 -2.469 1.425 8.379 0.000 -2.851 8.379" Properties=species:S:1:pos:R:3 pbc="T T T"
U 0.000 0.000 0.000
Si 0.000 0.000 6.366
Si 0.000 0.000 18.773
Pb 0.000 0.000 12.569
O -0.956 -1.557 9.736
O 0.000 0.000 4.766
O -0.871 -1.606 15.402
O -0.871 1.606 9.736
O -0.956 1.557 15.402
O 1.826 -0.049 9.736
O 0.000 0.000 20.373
O 1.826 0.049 15.402
```

Most intense lines, 2θ from 10° to 90°, low angle first:
d (Å), intensity
4.190, 23
4.048, 61
3.535, 100
2.532, 33
2.469, 35
2.127, 35
2.024, 19
1.597, 21

=====

Record 5
# Zn2GaCo5Ge2
Computed X-ray diffraction stick pattern, copper Kα. Input: a cell relaxed with GGA-PBE.
Neutral-atom scattering factors, no anomalous dispersion.

Cell and atoms:
```
20
Lattice="8.636 0.000 0.000 0.000 8.636 0.000 0.000 0.000 3.453" Properties=species:S:1:pos:R:3 pbc="T T T"
Zn 1.451 2.867 0.000
Zn 2.867 7.185 0.000
Zn 5.769 1.451 0.000
Zn 7.185 5.769 0.000
Ga 0.000 0.000 0.000
Ga 4.318 4.318 0.000
Co 0.000 4.318 1.726
Co 0.686 6.987 1.726
Co 1.649 0.686 1.726
Co 2.669 5.004 1.726
Co 3.632 2.669 1.726
Co 4.318 0.000 1.726
Co 5.004 5.967 1.726
Co 5.967 3.632 1.726
Co 6.987 7.950 1.726
Co 7.950 1.649 1.726
Ge 1.130 5.448 0.000
Ge 3.188 1.130 0.000
Ge 5.448 7.506 0.000
Ge 7.506 3.188 0.000
```

Most intense lines, 2θ from 10° to 90°, low angle first:
d (Å), intensity
2.287, 9
2.142, 100
2.095, 21
2.036, 8
1.968, 27
1.931, 12
1.726, 20
1.332, 9

=====

Record 6
# CuTeI2Br
Computed X-ray diffraction stick pattern, copper Kα. Input: a cell relaxed with GGA-PBE.
Neutral-atom scattering factors, no anomalous dispersion.

Cell and atoms:
```
5
Lattice="5.271 0.000 0.000 0.000 5.271 0.000 0.000 0.000 5.418" Properties=species:S:1:pos:R:3 pbc="T T T"
Cu 0.000 0.000 0.000
Te 0.000 0.000 2.709
I 0.000 2.636 0.000
I 2.636 0.000 0.000
Br 2.636 2.636 2.709
```

Most intense lines, 2θ from 10° to 90°, low angle first:
d (Å), intensity
5.271, 15
3.071, 100
2.709, 33
2.636, 61
1.889, 45
1.864, 21
1.593, 28
1.535, 23

=====

Record 7
# Pm8Y2Ho3
Computed X-ray diffraction stick pattern, copper Kα. Input: a cell relaxed with GGA-PBE.
Neutral-atom scattering factors, no anomalous dispersion.

Cell and atoms:
```
13
Lattice="6.162 0.000 0.000 3.006 6.079 0.000 2.839 -0.818 11.649" Properties=species:S:1:pos:R:3 pbc="T T T"
Pm 1.952 0.287 3.765
Pm 4.732 1.667 8.601
Pm 4.068 4.094 1.309
Pm 6.921 4.391 9.352
Pm 5.087 0.870 2.297
Pm 7.940 1.167 10.340
Pm 7.275 3.594 3.048
Pm 10.056 4.974 7.884
Y 4.360 3.139 4.996
Y 7.648 2.122 6.653
Ho 1.970 1.353 0.391
Ho 4.501 -0.409 5.824
Ho 10.038 3.908 11.258
```

Most intense lines, 2θ from 10° to 90°, low angle first:
d (Å), intensity
3.080, 55
2.885, 100
2.835, 74
2.820, 72
2.811, 81
2.780, 78
2.761, 27
1.658, 33

=====

Record 8
# NaSi
Computed X-ray diffraction stick pattern, copper Kα. Input: a cell relaxed with GGA-PBE.
Neutral-atom scattering factors, no anomalous dispersion.

Cell and atoms:
```
4
Lattice="4.701 0.000 0.000 0.000 3.823 0.000 -2.313 0.000 5.344" Properties=species:S:1:pos:R:3 pbc="T T T"
Na 0.007 0.956 1.586
Na 2.382 2.867 3.758
Si 0.019 0.956 4.676
Si 2.369 2.867 0.669
```

Most intense lines, 2θ from 10° to 90°, low angle first:
d (Å), intensity
5.344, 27
2.858, 100
2.849, 30
2.830, 31
2.350, 42
2.284, 33
2.274, 32
2.190, 43